Record 1
This entry pairs a crystal structure of Ho7Au3 with its simulated X-ray powder pattern. Radiation: Cu Kα (λ = 1.5418 Å). Structure: a cell relaxed with GGA-PBE.
No peak broadening, texture or thermal motion is included.

The 10 most intense peaks (5° ≤ 2θ ≤ 70°), most intense first:
h k l, d (Å), I (rel.)
2 1 1, 2.909, 100
3 0 1, 2.628, 89
2 0 2, 2.556, 78
2 2 0, 2.502, 74
1 0 2, 2.973, 42
2 0 3, 1.897, 38
2 1 2, 2.276, 31
3 0 0, 2.889, 27
5 2 1, 1.356, 27
3 0 3, 1.704, 25

Cell: 10.0068 10.0068 6.3294 Å, 90.00 90.00 120.00°
Space group P6_3mc (No. 186)
One atom of each set of equivalent atoms:
Ho: 0.0740 0.5370 0.0000 x6
Ho: 0.1292 0.2583 0.2937 x6
Ho: 0.3333 0.6667 0.4738 x2
Au: 0.1908 0.3816 0.7304 x6

Record 2
This entry pairs a crystal structure of Ho4Au with its simulated X-ray powder pattern. Radiation: Cu Kα (λ = 1.5418 Å). Structure: a cell relaxed with GGA-PBE.
No peak broadening, texture or thermal motion is included.

The 10 most intense peaks (5° ≤ 2θ ≤ 70°), most intense first:
h k l, d (Å), I (rel.)
2 2 2, 2.828, 100
3 3 1, 2.770, 75
1 5 1, 2.487, 55
1 1 3, 2.343, 33
4 4 0, 2.247, 31
4 2 0, 2.742, 28
2 2 0, 4.492, 23
2 0 2, 3.112, 23
4 2 2, 2.190, 22
2 4 2, 2.293, 21

Cell: 11.9936 13.5643 7.2814 Å, 90.00 90.00 90.00°
Space group Fdd2 (No. 43)
One atom of each set of equivalent atoms:
Ho: 0.0772 0.3849 0.0000 x16
Ho: 0.1119 0.3173 0.4542 x16
Au: 0.0000 0.0000 0.8566 x8

Record 3
This entry pairs a crystal structure of Ho3InAu with its simulated X-ray powder pattern. Radiation: Cu Kα (λ = 1.5418 Å). Structure: a cell relaxed with GGA-PBE.
No peak broadening, texture or thermal motion is included.

The 10 most intense peaks (5° ≤ 2θ ≤ 70°), most intense first:
h k l, d (Å), I (rel.)
2 2 2, 2.670, 100
0 2 2, 2.896, 57
3 1 -3, 2.742, 45
2 2 -2, 2.710, 29
5 1 1, 2.573, 27
2 0 4, 2.555, 27
5 1 -1, 2.618, 26
2 0 -4, 2.626, 24
1 1 3, 3.144, 23
3 1 2, 3.162, 19

Cell: 14.5254 6.7937 11.0975 Å, 90.00 92.36 90.00°
Space group C2/c (No. 15)
One atom of each set of equivalent atoms:
Ho: 0.0535 0.2052 0.0824 x8
Ho: 0.1174 0.4673 0.8351 x8
Ho: 0.1845 0.0310 0.3304 x8
In: 0.1298 0.2649 0.5781 x8
Au: 0.0000 0.1120 0.7500 x4
Au: 0.2500 0.2500 0.0000 x4